For PrMo2O6, a cell relaxed with GGA+U gives the calculated powder XRD pattern in this record (Cu Kα (λ = 1.5418 Å)).
Intensities are scaled so that the largest is 100.

Most intense lines, 2θ from 10° to 90°, low angle first:
2θ (°)	I_rel
19.2	48
19.5	53
31.6	30
31.8	100
31.9	32
32.3	32
45.5	22
57.2	22

Structural model:
```
data_PrMo2O6
_symmetry_space_group_name_H-M 'P 1'
_symmetry_Int_Tables_number 1
_cell_length_a 5.5479
_cell_length_b 5.6653
_cell_length_c 7.9676
_cell_angle_alpha 90.23
_cell_angle_beta 90.13
_cell_angle_gamma 90.13
loop_
_symmetry_equiv_pos_as_xyz
'x,y,z'
loop_
_atom_site_label
_atom_site_type_symbol
_atom_site_fract_x
_atom_site_fract_y
_atom_site_fract_z
Pr1 Pr 0.0000 0.0000 0.0000
Pr2 Pr 0.4895 0.4034 0.4965
Mo1 Mo 0.0012 0.4528 0.7459
Mo2 Mo 0.0022 0.4556 0.2465
Mo3 Mo 0.5049 0.9389 0.7481
Mo4 Mo 0.5074 0.9394 0.2497
O1 O 0.0691 0.4174 0.9915
O2 O 0.2243 0.1841 0.7108
O3 O 0.2345 0.1736 0.2790
O4 O 0.2996 0.6574 0.2892
O5 O 0.3012 0.6562 0.7038
O6 O 0.4312 0.9328 0.0026
O7 O 0.5595 0.9658 0.4908
O8 O 0.7310 0.2173 0.7787
O9 O 0.7333 0.2185 0.2136
O10 O 0.7966 0.7412 0.2041
O11 O 0.8132 0.7302 0.7920
O12 O 0.9081 0.4596 0.5022
```